Calculated powder diffractogram
Compound: NaSrLaWO6
Radiation: copper Kα
Structure: a cell relaxed with PBE+U
No peak broadening, texture or thermal motion is included.

Structure:
Cell: 6.0771 6.0771 6.0771 Å, 60.00 60.00 60.00°
Fractional positions:
Na (0.0000, 0.0000, 0.0000)
Sr (0.5000, 0.5000, 0.5000)
La (0.7500, 0.7500, 0.7500)
W (0.2500, 0.2500, 0.2500)
O (0.0230, 0.0230, 0.4770)
O (0.0230, 0.4770, 0.0230)
O (0.0230, 0.4770, 0.4770)
O (0.4770, 0.0230, 0.0230)
O (0.4770, 0.0230, 0.4770)
O (0.4770, 0.4770, 0.0230)

Principal peaks in the range 2θ = 5–70°, most intense first:
- d 3.039, 29.4 deg, intensity 100
- d 4.297, 20.7 deg, intensity 44
- d 1.754, 52.1 deg, intensity 41
- d 2.149, 42.1 deg, intensity 32
- d 1.519, 61.0 deg, intensity 20
- d 1.359, 69.1 deg, intensity 19
- d 1.922, 47.3 deg, intensity 18
- d 4.962, 17.9 deg, intensity 10
- d 1.432, 65.1 deg, intensity 9
- d 2.591, 34.6 deg, intensity 5